The following is a calculated XRD peak list of SrDyNiO4. It was derived from a structure optimized by DFT (PBE+U), using CuKα.

Most intense lines, 2θ = 10–90°, in order of rising 2θ:
(0 0 2), 14.58°, rel. 21
(1 0 1), 24.60°, rel. 27
(1 0 3), 32.35°, rel. 100
(1 1 0), 33.43°, rel. 72
(1 0 5), 44.27°, rel. 20
(1 1 4), 45.11°, rel. 28
(2 0 0), 48.01°, rel. 36
(1 1 6), 56.99°, rel. 15
(2 1 3), 59.08°, rel. 37
(3 1 0), 80.06°, rel. 11

Structural model:
Lattice parameters (Å, degrees): 3.7902 3.7902 12.1536 90.00 90.00 90.00
Space group I4mm (No. 107)
Symmetry-distinct sites (fractional):
Sr 0.0000 0.0000 0.0000
Dy 0.0000 0.0000 0.7202
Ni 0.0000 0.0000 0.3588
O 0.0000 0.0000 0.1942
O 0.0000 0.0000 0.5351
O 0.0000 0.5000 0.3437